This entry pairs a crystal structure of Co6Hg4F19 with its computed PXRD pattern. Radiation: CuKα. Structure: a DFT-relaxed cell (GGA+U, Alexandria).
No peak broadening, texture or thermal motion is included.

Largest 12 diffraction maxima, in order of rising 2θ, 15 to 90 degrees two-theta:
| hkl | 2theta | Rel. int. |
| --- | --- | --- |
| 2 1 1 | 23.14 | 100 |
| 3 0 1 | 30.01 | 57 |
| 2 2 2 | 32.95 | 32 |
| 3 1 2 | 35.67 | 22 |
| 3 3 0 | 40.65 | 43 |
| 4 2 2 | 47.29 | 14 |
| 4 3 1 | 49.35 | 30 |
| 5 2 1 | 53.28 | 39 |
| 6 0 0 | 58.84 | 17 |
| 5 5 2 | 73.97 | 16 |
| 8 1 1 | 83.38 | 10 |
| 7 4 3 | 89.54 | 13 |

Structure:
```
data_Co6Hg4F19
_chemical_formula_sum 'Co12 Hg8 F38'
_cell_length_a 9.417
_cell_length_b 9.417
_cell_length_c 9.417
_cell_angle_alpha 90.00
_cell_angle_beta 90.00
_cell_angle_gamma 90.00
_space_group_name_H-M_alt 'I 2 3'
_space_group_IT_number 197
_space_group_name_Hall 'I 2 2 3'
loop_
_atom_site_label
_atom_site_fract_x
_atom_site_fract_y
_atom_site_fract_z
Co1 0.000 0.162 0.500
Hg1 0.148 0.148 0.148
F1 0.000 0.000 0.000
F2 0.000 0.000 0.350
F3 0.040 0.288 0.327
```